Entry 1:
For Hf3Fe4Sn4, a structure optimized by DFT (GGA-PBE) gives the computed powder X-ray diffraction pattern in this record (Cu Ka).
Kinematic intensities with the Lorentz-polarization factor, no thermal factor.

Largest 12 diffraction maxima, in order of falling intensity, 2θ from 15° to 90°:
hkl 1 3 2, 2θ 36.52, I 100; hkl 0 2 4, 2θ 39.50, I 48; hkl 3 2 1, 2θ 39.86, I 43; hkl 3 0 2, 2θ 37.17, I 42; hkl 3 0 3, 2θ 41.84, I 37; hkl 2 3 0, 2θ 37.64, I 29; hkl 1 1 4, 2θ 36.94, I 28; hkl 0 4 0, 2θ 40.77, I 25; hkl 2 2 3, 2θ 39.34, I 24; hkl 3 2 2, 2θ 42.59, I 24; hkl 3 1 1, 2θ 35.60, I 22; hkl 2 1 3, 2θ 35.03, I 20

```
data_Hf3Fe4Sn4
_chemical_formula_sum 'Hf12 Fe16 Sn16'
_space_group_name_H-M_alt 'P n m a'
_space_group_IT_number 62
_cell_length_a 8.146
_cell_length_b 8.852
_cell_length_c 10.650
_cell_angle_alpha 90.00
_cell_angle_beta 90.00
_cell_angle_gamma 90.00
loop_
_space_group_symop_operation_xyz
'x,y,z'
'-x,-y,-z'
'-x+1/2,-y,z+1/2'
'x+1/2,y,-z+1/2'
'x+1/2,-y+1/2,-z+1/2'
'-x+1/2,y+1/2,z+1/2'
'-x,y+1/2,-z'
'x,-y+1/2,z'
loop_
_atom_site_label
_atom_site_fract_x
_atom_site_fract_y
_atom_site_fract_z
Hf1 0.050 0.051 0.134
Hf2 0.051 0.750 0.551
Fe1 0.130 0.750 0.264
Fe2 0.188 0.750 0.022
Fe3 0.201 0.507 0.402
Sn1 0.116 0.250 0.918
Sn2 0.118 0.069 0.646
Sn3 0.239 0.750 0.786
```

Entry 2:
For CuRe3Pb5, a structure optimized by DFT (GGA-PBE) gives the computed powder X-ray diffraction pattern in this record (Cu Ka).
Kinematic intensities with the Lorentz-polarization factor, no thermal factor.

Largest 12 diffraction maxima, in order of falling intensity, 2θ from 15° to 90°:
hkl 2 0 2, 2θ 43.46, I 100; hkl 1 1 0, 2θ 32.65, I 68; hkl 2 0 1, 2θ 39.33, I 67; hkl 0 0 3, 2θ 31.01, I 58; hkl 1 0 2, 2θ 27.89, I 42; hkl 1 1 2, 2θ 38.88, I 33; hkl 1 0 0, 2θ 18.68, I 32; hkl 2 2 3, 2θ 76.99, I 28; hkl 2 2 0, 2θ 68.40, I 27; hkl 1 1 3, 2θ 45.65, I 27; hkl 2 0 5, 2θ 66.90, I 26; hkl 1 1 5, 2θ 63.58, I 19

```
data_CuRe3Pb5
_chemical_formula_sum 'Cu1 Re3 Pb5'
_space_group_name_H-M_alt 'P 6/m m m'
_space_group_IT_number 191
_space_group_name_Hall '-P 6 2'
_cell_length_a 5.4859
_cell_length_b 5.4859
_cell_length_c 8.6509
_cell_angle_alpha 90.00
_cell_angle_beta 90.00
_cell_angle_gamma 120.00
loop_
_atom_site_label
_atom_site_fract_x
_atom_site_fract_y
_atom_site_fract_z
Cu1 0.0000 0.0000 0.0000
Re1 0.0000 0.5000 0.5000
Pb1 0.0000 0.0000 0.5000
Pb2 0.3333 0.6667 0.1982
```

Entry 3:
For RbErCdS3, a structure optimized by DFT (GGA-PBE) gives the computed powder X-ray diffraction pattern in this record (Cu Ka).
Kinematic intensities with the Lorentz-polarization factor, no thermal factor.

Largest 12 diffraction maxima, in order of falling intensity, 2θ from 15° to 90°:
hkl 2 1 0, 2θ 30.76, I 100; hkl 2 1 -1, 2θ 29.94, I 100; hkl 1 1 -3, 2θ 34.30, I 90; hkl 2 0 -2, 2θ 23.37, I 78; hkl 1 0 3, 2θ 33.31, I 68; hkl 1 1 1, 2θ 27.22, I 61; hkl 0 1 2, 2θ 28.58, I 53; hkl 2 1 -4, 2θ 42.87, I 53; hkl 0 2 0, 2θ 43.99, I 45; hkl 3 1 2, 2θ 48.78, I 33; hkl 3 1 -1, 2θ 37.96, I 30; hkl 1 2 3, 2θ 56.28, I 29

```
data_RbErCdS3
_chemical_formula_sum 'Rb2 Er2 Cd2 S6'
_space_group_name_H-M_alt 'P 1 21/m 1'
_space_group_IT_number 11
_cell_length_a 8.707
_cell_length_b 4.117
_cell_length_c 10.166
_cell_angle_alpha 90.00
_cell_angle_beta 109.47
_cell_angle_gamma 90.00
loop_
_space_group_symop_operation_xyz
'x,y,z'
'-x,-y,-z'
'-x,y+1/2,-z'
'x,-y+1/2,z'
loop_
_atom_site_label
_atom_site_fract_x
_atom_site_fract_y
_atom_site_fract_z
Rb1 0.230 0.250 0.243
Er1 0.328 0.750 0.869
Cd1 0.084 0.250 0.614
S1 0.112 0.250 0.866
S2 0.227 0.750 0.557
S3 0.470 0.750 0.143
```